[1]
Structure and calculated powder diffraction line list of Mn3SnP6O24 (a GGA+U-relaxed structure; Cu Kα (λ = 1.5418 Å)).
Neutral-atom scattering factors, no anomalous dispersion.

Crystal structure
Cell: 8.5663 8.5663 21.1929 Å, 90.00 90.00 120.00°
Space group R3 (No. 146, hexagonal axes)
Asymmetric unit:
1 Mn 0.0000 0.0000 0.0000
2 Mn 0.0000 0.0000 0.2165
3 Mn 0.0000 0.0000 0.4999
4 Sn 0.0000 0.0000 0.7203
5 P 0.0012 0.7093 0.6070
6 P 0.0079 0.2859 0.1095
7 O 0.0144 0.8310 0.2721
8 O 0.0182 0.1967 0.0479
9 O 0.0199 0.8202 0.5479
10 O 0.0264 0.1999 0.7785
11 O 0.1437 0.6856 0.3348
12 O 0.1510 0.4807 0.8364
13 O 0.1697 0.6863 0.6072
14 O 0.1788 0.4749 0.1090

Top 12 peaks for 10° ≤ 2θ ≤ 90°, by intensity:
3.662 Å, I 100, hkl 2 -1 3
4.312 Å, I 85, hkl 1 0 4
3.039 Å, I 57, hkl 0 2 4
4.283 Å, I 49, hkl 1 1 0
2.476 Å, I 47, hkl 3 0 0
6.077 Å, I 39, hkl 0 1 2
2.725 Å, I 34, hkl 1 1 6
1.620 Å, I 31, hkl 1 4 0
1.926 Å, I 22, hkl 1 2 8
2.780 Å, I 18, hkl 3 -1 1
1.691 Å, I 14, hkl 2 1 10
1.831 Å, I 13, hkl 2 2 6

***

[2]
Structure and calculated powder diffraction line list of Li9Mn2Co5O16 (a GGA+U-relaxed structure; Cu Kα (λ = 1.5418 Å)).
Neutral-atom scattering factors, no anomalous dispersion.

Crystal structure
Cell: 10.2312 11.5499 5.1691 Å, 90.00 110.95 90.00°
Space group Cm (No. 8)
Asymmetric unit:
1 Li 0.0000 0.0000 0.0000
2 Li 0.0050 0.3732 0.4948
3 Li 0.2407 0.0000 0.4904
4 Li 0.2517 0.2496 0.4959
5 Li 0.2573 0.5000 0.5052
6 Li 0.4957 0.3773 0.5009
7 Mn 0.2470 0.1259 0.0006
8 Co 0.0009 0.2484 0.9971
9 Co 0.0056 0.5000 0.9920
10 Co 0.2600 0.3762 0.9948
11 O 0.1183 0.3719 0.2087
12 O 0.1284 0.1312 0.2133
13 O 0.1285 0.5000 0.7553
14 O 0.1347 0.2423 0.7603
15 O 0.1412 0.0000 0.7708
16 O 0.3625 0.0000 0.2274
17 O 0.3634 0.5000 0.2450
18 O 0.3682 0.2437 0.2349
19 O 0.3767 0.1267 0.7898
20 O 0.3774 0.3664 0.7748

Top 12 peaks for 10° ≤ 2θ ≤ 90°, by intensity:
4.827 Å, I 100, hkl 0 0 1
2.051 Å, I 53, hkl 2 4 1
2.118 Å, I 29, hkl 4 0 -2
2.471 Å, I 25, hkl 2 4 0
1.479 Å, I 15, hkl 2 4 -3
1.468 Å, I 15, hkl 6 4 -1
2.531 Å, I 15, hkl 4 0 -1
2.387 Å, I 11, hkl 2 4 -1
1.586 Å, I 9, hkl 2 4 2
1.913 Å, I 9, hkl 2 4 -2
7.362 Å, I 7, hkl 1 1 0
1.444 Å, I 7, hkl 0 8 0

***

[3]
Structure and calculated powder diffraction line list of MgFe8O8F8 (a GGA+U-relaxed structure; Cu Kα (λ = 1.5418 Å)).
Neutral-atom scattering factors, no anomalous dispersion.

Crystal structure
Cell: 9.7084 3.1084 9.7855 Å, 90.00 92.67 90.00°
Space group Pm (No. 6)
Asymmetric unit:
1 Mg 0.0000 0.0000 0.0000
2 Fe 0.2488 0.0000 0.4863
3 Fe 0.2853 0.0000 0.9403
4 Fe 0.5107 0.5000 0.2336
5 Fe 0.5155 0.5000 0.7517
6 Fe 0.7184 0.0000 0.9950
7 Fe 0.7327 0.0000 0.4706
8 Fe 0.9526 0.5000 0.2603
9 Fe 0.9935 0.5000 0.7479
10 O 0.0973 0.0000 0.8265
11 O 0.3676 0.5000 0.8651
12 O 0.5865 0.0000 0.3338
13 O 0.6168 0.0000 0.8243
14 O 0.6324 0.5000 0.0816
15 O 0.8358 0.5000 0.4098
16 O 0.8753 0.5000 0.9131
17 O 0.8791 0.0000 0.1574
18 F 0.0804 0.0000 0.3376
19 F 0.1082 0.5000 0.0896
20 F 0.1362 0.5000 0.5818
21 F 0.3412 0.5000 0.3764
22 F 0.3882 0.0000 0.1401
23 F 0.4170 0.0000 0.6279
24 F 0.6450 0.5000 0.5800
25 F 0.8869 0.0000 0.6460

Top 12 peaks for 10° ≤ 2θ ≤ 90°, by intensity:
2.620 Å, I 100, hkl 0 1 2
3.365 Å, I 79, hkl 2 0 2
3.525 Å, I 69, hkl 2 0 -2
1.764 Å, I 35, hkl 4 0 -4
1.759 Å, I 31, hkl 4 1 2
1.554 Å, I 21, hkl 0 2 0
1.803 Å, I 19, hkl 4 1 -2
2.283 Å, I 18, hkl 2 1 2
1.443 Å, I 17, hkl 0 1 6
1.809 Å, I 16, hkl 2 1 -4
1.682 Å, I 14, hkl 4 0 4
2.332 Å, I 13, hkl 2 1 -2

***

[4]
Structure and calculated powder diffraction line list of Li9Mn2Co5O16 (a GGA+U-relaxed structure; Cu Kα (λ = 1.5418 Å)).
Neutral-atom scattering factors, no anomalous dispersion.

Crystal structure
Cell: 5.1680 7.7203 7.7308 Å, 95.44 96.44 108.57°
Space group P1 (No. 1)
Asymmetric unit:
1 Li 0.0000 0.0000 0.0000
2 Li 0.0619 0.5627 0.6829
3 Li 0.1889 0.6958 0.0655
4 Li 0.3136 0.8137 0.4356
5 Li 0.4395 0.9389 0.8161
6 Li 0.5643 0.0620 0.1816
7 Li 0.6890 0.1826 0.5587
8 Li 0.8121 0.3032 0.9450
9 Li 0.9368 0.4339 0.3096
10 Mn 0.2502 0.2439 0.7484
11 Mn 0.6238 0.6265 0.8734
12 Co 0.1232 0.1173 0.3637
13 Co 0.3615 0.3665 0.1229
14 Co 0.4975 0.4973 0.4953
15 Co 0.7508 0.7527 0.2456
16 Co 0.8776 0.8741 0.6256
17 O 0.1122 0.3304 0.5378
18 O 0.1532 0.9131 0.2297
19 O 0.2428 0.4635 0.8978
20 O 0.2877 0.0434 0.6029
21 O 0.3597 0.5872 0.2774
22 O 0.4037 0.1728 0.9623
23 O 0.4673 0.7005 0.6618
24 O 0.5242 0.2902 0.3460
25 O 0.5917 0.8259 0.0268
26 O 0.6278 0.4069 0.7241
27 O 0.7413 0.9593 0.4150
28 O 0.7730 0.5456 0.0809
29 O 0.8833 0.0945 0.7694
30 O 0.8851 0.6635 0.4693
31 O 0.9822 0.7707 0.8305
32 O 0.9863 0.2237 0.1628

Top 12 peaks for 10° ≤ 2θ ≤ 90°, by intensity:
4.838 Å, I 100, hkl 1 -1 0
2.116 Å, I 29, hkl 2 1 -1
2.082 Å, I 27, hkl 1 -2 3
2.041 Å, I 26, hkl -1 3 2
1.484 Å, I 15, hkl 1 3 -4
2.534 Å, I 15, hkl 1 2 -1
2.504 Å, I 13, hkl 0 1 -3
2.459 Å, I 12, hkl 0 2 2
1.915 Å, I 9, hkl 2 0 2
1.478 Å, I 8, hkl -3 2 3
2.400 Å, I 8, hkl 0 3 -1
1.461 Å, I 7, hkl 1 4 1

***

[5]
Structure and calculated powder diffraction line list of Mn12O7F17 (a GGA+U-relaxed structure; Cu Kα (λ = 1.5418 Å)).
Neutral-atom scattering factors, no anomalous dispersion.

Crystal structure
Cell: 4.8426 5.8224 15.8211 Å, 88.82 89.23 84.80°
Space group P1 (No. 1)
Asymmetric unit:
1 Mn 0.0000 0.0000 0.0000
2 Mn 0.0004 0.3234 0.5199
3 Mn 0.0017 0.9873 0.6773
4 Mn 0.0142 0.2986 0.8501
5 Mn 0.0221 0.9992 0.3400
6 Mn 0.4768 0.8172 0.8382
7 Mn 0.4989 0.8214 0.4978
8 Mn 0.5007 0.8337 0.1762
9 Mn 0.5038 0.4996 0.3397
10 Mn 0.5119 0.4738 0.0099
11 Mn 0.5130 0.4971 0.6773
12 Mn 0.9987 0.2995 0.1885
13 O 0.2162 0.0460 0.2357
14 O 0.2266 0.0436 0.9019
15 O 0.2850 0.7620 0.3889
16 O 0.2866 0.7636 0.7268
17 O 0.7753 0.2603 0.2896
18 O 0.7839 0.2598 0.6297
19 O 0.7954 0.2602 0.9504
20 F 0.2321 0.2711 0.0810
21 F 0.2403 0.0327 0.5735
22 F 0.2439 0.2691 0.7430
23 F 0.2593 0.2691 0.4089
24 F 0.2658 0.7723 0.0615
25 F 0.2722 0.5410 0.9003
26 F 0.2858 0.5409 0.2309
27 F 0.2955 0.5374 0.5674
28 F 0.7225 0.7603 0.9492
29 F 0.7370 0.5320 0.4459
30 F 0.7439 0.5256 0.7893
31 F 0.7463 0.7537 0.2834
32 F 0.7468 0.5318 0.1247
33 F 0.7498 0.7552 0.6117
34 F 0.7759 0.0344 0.1074
35 F 0.7820 0.0227 0.7836
36 F 0.8097 0.0299 0.4496

Top 12 peaks for 10° ≤ 2θ ≤ 90°, by intensity:
2.947 Å, I 100, hkl -1 1 3
3.161 Å, I 68, hkl 1 1 3
3.884 Å, I 60, hkl 1 1 0
3.094 Å, I 53, hkl 1 1 -3
3.553 Å, I 44, hkl 1 -1 0
1.790 Å, I 27, hkl 2 0 6
1.769 Å, I 27, hkl 2 0 -6
1.809 Å, I 24, hkl 2 2 -3
1.836 Å, I 23, hkl 2 2 3
1.853 Å, I 20, hkl 1 3 0
2.561 Å, I 20, hkl 0 2 3
2.636 Å, I 18, hkl 0 0 6